Record 1
Structure and simulated powder X-ray diffraction pattern of BaMg3Hg9 (a PBE-relaxed structure; CuKα).
Kinematic intensities with the Lorentz-polarization factor, no thermal factor.

Largest 8 diffraction maxima, by angle, 2θ = 10–90°:
- d = 3.085 Å, I = 63
- d = 2.982 Å, I = 42
- d = 2.613 Å, I = 82
- d = 2.571 Å, I = 100
- d = 2.364 Å, I = 36
- d = 2.326 Å, I = 46
- d = 2.318 Å, I = 25
- d = 1.503 Å, I = 24

Structural model:
Unit cell a=7.9784 b=7.9784 c=7.7725 alpha=98.55 beta=98.55 gamma=134.50
Atoms (fractional coordinates):
Ba  0.0000  0.0000  0.0000
Mg  0.0000  0.5000  0.0000
Mg  0.5000  0.0000  0.0000
Mg  0.5000  0.5000  0.5000
Hg  0.0000  0.0000  0.5000
Hg  0.0098  0.6574  0.6619
Hg  0.2973  0.5192  0.7824
Hg  0.3426  0.9902  0.3381
Hg  0.4808  0.7027  0.2176
Hg  0.5192  0.2973  0.7824
Hg  0.6574  0.0098  0.6619
Hg  0.7027  0.4808  0.2176
Hg  0.9902  0.3426  0.3381

***

Record 2
Structure and simulated powder X-ray diffraction pattern of LiZnRh2 (a PBE-relaxed structure; CuKα).
Kinematic intensities with the Lorentz-polarization factor, no thermal factor.

Largest 8 diffraction maxima, by angle, 2θ = 10–90°:
- d = 8.515 Å, I = 45
- d = 4.258 Å, I = 37
- d = 2.430 Å, I = 17
- d = 2.281 Å, I = 32
- d = 2.129 Å, I = 26
- d = 2.110 Å, I = 100
- d = 1.556 Å, I = 18
- d = 1.282 Å, I = 19

Structural model:
Unit cell a=2.6954 b=2.6954 c=8.5153 alpha=90.00 beta=90.00 gamma=115.65
Atoms (fractional coordinates):
Li  0.0000  0.0000  0.0000
Zn  0.0000  0.0000  0.5000
Rh  0.5000  0.5000  0.2526
Rh  0.5000  0.5000  0.7474

***

Record 3
Structure and simulated powder X-ray diffraction pattern of BaSn2HgPb2 (a PBE-relaxed structure; CuKα).
Kinematic intensities with the Lorentz-polarization factor, no thermal factor.

Largest 8 diffraction maxima, by angle, 2θ = 10–90°:
- d = 6.234 Å, I = 25
- d = 3.554 Å, I = 80
- d = 3.117 Å, I = 45
- d = 3.059 Å, I = 100
- d = 2.183 Å, I = 68
- d = 2.163 Å, I = 39
- d = 1.848 Å, I = 26
- d = 1.777 Å, I = 36

Structural model:
Unit cell a=7.5882 b=7.5882 c=7.5882 alpha=132.45 beta=132.45 gamma=69.52
Atoms (fractional coordinates):
Ba  0.0000  0.0000  0.0000
Sn  0.2820  0.2820  0.0000
Sn  0.7180  0.7180  0.0000
Hg  0.5000  0.5000  0.0000
Pb  0.2500  0.7500  0.5000
Pb  0.7500  0.2500  0.5000

***

Record 4
Structure and simulated powder X-ray diffraction pattern of Na4Tl3Pb5 (a PBE-relaxed structure; CuKα).
Kinematic intensities with the Lorentz-polarization factor, no thermal factor.

Largest 8 diffraction maxima, by angle, 2θ = 10–90°:
- d = 8.434 Å, I = 40
- d = 2.991 Å, I = 56
- d = 2.811 Å, I = 85
- d = 2.778 Å, I = 59
- d = 2.711 Å, I = 55
- d = 2.702 Å, I = 54
- d = 2.611 Å, I = 100
- d = 2.570 Å, I = 45

Structural model:
Unit cell a=6.0875 b=6.9502 c=8.6466 alpha=78.27 beta=85.10 gamma=89.84
Atoms (fractional coordinates):
Na  0.1140  0.1627  0.3272
Na  0.3821  0.5781  0.6697
Na  0.6179  0.4219  0.3303
Na  0.8860  0.8373  0.6728
Tl  0.0000  0.0000  0.0000
Tl  0.1046  0.6657  0.3336
Tl  0.8954  0.3343  0.6664
Pb  0.0000  0.5000  0.0000
Pb  0.3923  0.0836  0.6630
Pb  0.4905  0.7566  0.0013
Pb  0.5095  0.2434  0.9987
Pb  0.6077  0.9164  0.3370

***

Record 5
Structure and simulated powder X-ray diffraction pattern of RbCaAgO2 (a PBE-relaxed structure; CuKα).
Kinematic intensities with the Lorentz-polarization factor, no thermal factor.

Largest 8 diffraction maxima, by angle, 2θ = 10–90°:
- d = 6.519 Å, I = 65
- d = 3.953 Å, I = 51
- d = 3.259 Å, I = 83
- d = 3.247 Å, I = 64
- d = 3.001 Å, I = 77
- d = 2.783 Å, I = 46
- d = 2.559 Å, I = 100
- d = 2.491 Å, I = 86

Structural model:
Unit cell a=7.2828 b=7.2828 c=5.3916 alpha=90.00 beta=90.00 gamma=127.04
Atoms (fractional coordinates):
Rb  0.2500  0.7500  0.7793
Rb  0.7500  0.2500  0.2207
Ca  0.2500  0.2500  0.0000
Ca  0.7500  0.7500  0.0000
Ag  0.0000  0.0000  0.5000
Ag  0.5000  0.5000  0.5000
O  0.0943  0.9057  0.1880
O  0.4057  0.5943  0.1880
O  0.5943  0.4057  0.8120
O  0.9057  0.0943  0.8120